For Li4V3NiO8, a structure optimized by DFT (PBE+U) gives the computed powder X-ray diffraction pattern in this record (Cu Kα (weighted mean of Kα1 and Kα2)).
Lines closer than 0.1° are merged.

Top 6 peaks for 2θ = 15–90°, sorted by position:
| index | 2θ/deg | Rel. int. |
| --- | --- | --- |
| 0 0 3 | 18.17 | 100 |
| 0 2 1 | 36.26 | 40 |
| 0 2 4 | 43.68 | 82 |
| 2 0 5 | 47.67 | 14 |
| 2 0 8 | 62.79 | 23 |
| 2 2 0 | 64.17 | 22 |

Crystal structure
```
data_Li4V3NiO8
_cell_length_a 5.8056
_cell_length_b 5.8056
_cell_length_c 14.6471
_cell_angle_alpha 90.00
_cell_angle_beta 90.00
_cell_angle_gamma 120.00
_space_group_name_H-M_alt 'R -3 m'
_space_group_IT_number 166
_space_group_name_Hall '-R 3 2"'
loop_
_atom_site_label
_atom_site_type_symbol
_atom_site_fract_x
_atom_site_fract_y
_atom_site_fract_z
_atom_site_occupancy
Li1 Li 0.0000 0.0000 0.0000 1
Li2 Li 0.0000 0.5000 0.0000 1
V1 V 0.0000 0.5000 0.5000 1
Ni1 Ni 0.0000 0.0000 0.5000 1
O1 O 0.0000 0.0000 0.2454 1
O2 O 0.0110 0.5055 0.7565 1
```